# CsNaTlAs
Simulated powder X-ray diffraction pattern, copper Kα. Input: a crystal structure in Alexandria, relaxed with GGA-PBE.

a b c (Å): 4.6364 5.6019 11.9991
angles (deg): 90.00 90.00 90.00
Fractional positions:
Cs 0.0000 0.0000 0.0000
Cs 0.5000 0.5000 0.5000
Na 0.0000 0.0000 0.3380
Na 0.5000 0.5000 0.8380
Tl 0.0000 0.0000 0.6285
Tl 0.5000 0.5000 0.1285
As 0.0000 0.5000 0.2680
As 0.5000 0.0000 0.7680

Largest 10 diffraction maxima, in order of rising 2θ, 2θ from 10° to 90°:
| two_theta | I/Imax |
| --- | --- |
| 14.8 | 44 |
| 17.5 | 94 |
| 24.9 | 77 |
| 27.4 | 65 |
| 29.1 | 100 |
| 29.5 | 100 |
| 32.0 | 50 |
| 38.8 | 30 |
| 44.0 | 67 |
| 48.2 | 28 |

# K2BaCS
Simulated powder X-ray diffraction pattern, copper Kα. Input: a crystal structure in Alexandria, relaxed with GGA-PBE.

a b c (Å): 5.0879 5.0879 8.5118
angles (deg): 90.00 90.00 90.00
Fractional positions:
K 0.0000 0.5000 0.0000
K 0.5000 0.0000 0.0000
Ba 0.0000 0.0000 0.5000
C 0.5000 0.5000 0.0000
S 0.5000 0.5000 0.5000

Largest 10 diffraction maxima, in order of rising 2θ, 2θ from 10° to 90°:
| two_theta | I/Imax |
| --- | --- |
| 10.4 | 18 |
| 17.4 | 17 |
| 20.3 | 41 |
| 20.9 | 58 |
| 26.9 | 100 |
| 35.3 | 28 |
| 40.5 | 32 |
| 41.3 | 35 |
| 55.5 | 14 |
| 58.4 | 21 |